(1)
For Pa2MnC4, a DFT-relaxed cell (GGA-PBE, Alexandria) gives the calculated powder diffractogram in this record (copper Kα).
Peak positions follow from Bragg's law for the DFT cell and can differ from measured ones.

The 10 most intense peaks (15 to 90 degrees two-theta), sorted by position:
h k l, 2theta, d (Å), I_rel
1 2 1, 28.3, 3.156, 100
1 3 0, 30.4, 2.944, 23
2 1 1, 31.1, 2.874, 54
0 0 2, 35.6, 2.523, 22
3 1 0, 37.1, 2.423, 23
0 4 0, 37.5, 2.400, 15
0 4 2, 52.6, 1.739, 19
4 1 1, 52.9, 1.731, 15
2 5 1, 56.9, 1.619, 15
3 3 2, 59.5, 1.553, 36

Atomic structure:
Lattice parameters (Å, degrees): 7.511 9.599 5.046 90.00 90.00 90.00
Space group Ibam (No. 72)
Symmetry-distinct sites (fractional):
Pa 0.169 0.141 0.000
Mn 0.000 0.500 0.250
C 0.144 0.128 0.500
C 0.171 0.409 0.000

(2)
For PaMn8C6, a DFT-relaxed cell (GGA-PBE, Alexandria) gives the calculated powder diffractogram in this record (copper Kα).
Peak positions follow from Bragg's law for the DFT cell and can differ from measured ones.

The 10 most intense peaks (15 to 90 degrees two-theta), sorted by position:
h k l, 2theta, d (Å), I_rel
1 0 0, 17.5, 5.078, 39
1 0 2, 23.9, 3.728, 72
1 1 0, 30.5, 2.932, 29
1 1 2, 34.7, 2.586, 100
2 0 0, 35.4, 2.539, 38
1 0 4, 37.2, 2.415, 82
2 0 2, 39.1, 2.304, 67
2 1 2, 50.4, 1.812, 29
3 0 0, 54.2, 1.693, 40
2 1 4, 58.7, 1.573, 34

Atomic structure:
Lattice parameters (Å, degrees): 5.8634 5.8634 10.9810 90.00 90.00 120.00
Space group P6_3cm (No. 185)
Symmetry-distinct sites (fractional):
Pa 0.0000 0.0000 0.0000
Mn 0.0000 0.3108 0.2658
Mn 0.0000 0.4339 0.6084
Mn 0.3333 0.6667 0.4076
C 0.0000 0.0000 0.2509
C 0.0000 0.3853 0.4348
C 0.3333 0.6667 0.2206